# 1
Theoretical powder diffraction line list of BaH11Rh5 for Cu Kα (weighted mean of Kα1 and Kα2), from a cell relaxed with PBE.
Neutral-atom scattering factors, no anomalous dispersion.

Crystal structure
```
data_BaH11Rh5
_chemical_formula_sum 'Ba2 H22 Rh10'
_space_group_name_H-M_alt 'C 1 2/m 1'
_space_group_IT_number 12
_cell_length_a 6.1163
_cell_length_b 9.1029
_cell_length_c 7.0133
_cell_angle_alpha 90.00
_cell_angle_beta 113.14
_cell_angle_gamma 90.00
loop_
_space_group_symop_operation_xyz
'x,y,z'
'-x,-y,-z'
'-x,y,-z'
'x,-y,z'
'x+1/2,y+1/2,z'
'-x+1/2,-y+1/2,-z'
'-x+1/2,y+1/2,-z'
'x+1/2,-y+1/2,z'
loop_
_atom_site_label
_atom_site_type_symbol
_atom_site_fract_x
_atom_site_fract_y
_atom_site_fract_z
_atom_site_occupancy
Ba1 Ba 0.0000 0.0000 0.0000 1
H1 H 0.0000 0.0000 0.5000 1
H2 H 0.0475 0.5000 0.2749 1
H3 H 0.0539 0.2150 0.3622 1
H4 H 0.1685 0.3373 0.1028 1
Rh1 Rh 0.0000 0.5000 0.0000 1
Rh2 Rh 0.2306 0.1483 0.6367 1
```

Most intense lines, 2θ from 10° to 80°, in order of rising 2θ:
2theta  Rel. int.  hkl
19.05  651  1 1 -1
23.93  1000  0 2 1
27.71  607  1 1 -2
29.23  552  2 0 -1
33.03  341  2 0 -2
33.85  529  1 3 -1
37.60  386  2 2 0
39.65  754  2 0 1
42.07  860  0 0 3
51.67  409  2 4 0

# 2
Theoretical powder diffraction line list of Ba2H7Rh for Cu Kα (weighted mean of Kα1 and Kα2), from a cell relaxed with PBE.
Neutral-atom scattering factors, no anomalous dispersion.

Crystal structure
```
data_Ba2H7Rh
_chemical_formula_sum 'Ba8 H28 Rh4'
_space_group_name_H-M_alt 'F m -3 m'
_space_group_IT_number 225
_space_group_name_Hall '-F 4 2 3'
_cell_length_a 8.0579
_cell_length_b 8.0579
_cell_length_c 8.0579
_cell_angle_alpha 90.00
_cell_angle_beta 90.00
_cell_angle_gamma 90.00
loop_
_atom_site_label
_atom_site_type_symbol
_atom_site_fract_x
_atom_site_fract_y
_atom_site_fract_z
_atom_site_occupancy
Ba1 Ba 0.2500 0.2500 0.2500 1
H1 H 0.0000 0.0000 0.0000 1
H2 H 0.0000 0.0000 0.2916 1
Rh1 Rh 0.0000 0.0000 0.5000 1
```

Most intense lines, 2θ from 10° to 80°, in order of rising 2θ:
2theta  Rel. int.  hkl
19.08  198  1 1 1
22.06  201  2 0 0
31.40  1000  2 2 0
37.00  102  3 1 1
38.71  73  2 2 2
45.00  189  4 0 0
50.66  91  4 2 0
55.90  380  4 2 2
65.53  121  4 4 0
74.47  165  6 2 0

# 3
Theoretical powder diffraction line list of BaSnH2Rh2 for Cu Kα (weighted mean of Kα1 and Kα2), from a cell relaxed with PBE.
Neutral-atom scattering factors, no anomalous dispersion.

Crystal structure
```
data_BaSnH2Rh2
_chemical_formula_sum 'Ba2 Sn2 H4 Rh4'
_space_group_name_H-M_alt 'P 1 21/m 1'
_space_group_IT_number 11
_cell_length_a 4.7462
_cell_length_b 5.8382
_cell_length_c 7.9580
_cell_angle_alpha 90.00
_cell_angle_beta 97.26
_cell_angle_gamma 90.00
loop_
_space_group_symop_operation_xyz
'x,y,z'
'-x,-y,-z'
'-x,y+1/2,-z'
'x,-y+1/2,z'
loop_
_atom_site_label
_atom_site_type_symbol
_atom_site_fract_x
_atom_site_fract_y
_atom_site_fract_z
_atom_site_occupancy
Ba1 Ba 0.2477 0.2500 0.3791 1
Sn1 Sn 0.2026 0.7500 0.0946 1
H1 H 0.1877 0.2500 0.7015 1
H2 H 0.2733 0.7500 0.7265 1
Rh1 Rh 0.2895 0.0170 0.8341 1
```

Most intense lines, 2θ from 10° to 80°, in order of rising 2θ:
2theta  Rel. int.  hkl
11.21  693  0 0 1
25.77  457  1 1 -1
27.27  1000  0 1 2
27.83  523  1 1 1
31.36  291  1 0 2
37.26  913  1 2 -1
38.23  520  2 0 0
38.76  420  1 2 1
45.04  256  2 1 -2
52.36  313  1 2 3

# 4
Theoretical powder diffraction line list of Ba2SnH6Rh for Cu Kα (weighted mean of Kα1 and Kα2), from a cell relaxed with PBE.
Neutral-atom scattering factors, no anomalous dispersion.

Crystal structure
```
data_Ba2SnH6Rh
_chemical_formula_sum 'Ba2 Sn1 H6 Rh1'
_space_group_name_H-M_alt 'P -3 m 1'
_space_group_IT_number 164
_space_group_name_Hall '-P 3 2"'
_cell_length_a 5.4218
_cell_length_b 5.4218
_cell_length_c 6.8261
_cell_angle_alpha 90.00
_cell_angle_beta 90.00
_cell_angle_gamma 120.00
loop_
_atom_site_label
_atom_site_type_symbol
_atom_site_fract_x
_atom_site_fract_y
_atom_site_fract_z
_atom_site_occupancy
Ba1 Ba 0.3333 0.6667 0.2775 1
Sn1 Sn 0.0000 0.0000 0.0000 1
H1 H 0.1485 0.2969 0.6380 1
Rh1 Rh 0.0000 0.0000 0.5000 1
```

Most intense lines, 2θ from 10° to 80°, in order of rising 2θ:
2theta  Rel. int.  hkl
22.99  945  0 1 1
32.43  1000  1 0 2
33.04  880  1 1 0
40.64  225  2 0 1
46.98  359  0 2 2
53.34  192  1 2 1
58.63  368  2 1 2
59.02  167  3 0 0
64.53  199  1 1 4
78.63  160  1 3 2

# 5
Theoretical powder diffraction line list of Ba6H2Ru for Cu Kα (weighted mean of Kα1 and Kα2), from a cell relaxed with PBE.
Neutral-atom scattering factors, no anomalous dispersion.

Crystal structure
```
data_Ba6H2Ru
_chemical_formula_sum 'Ba12 H4 Ru2'
_space_group_name_H-M_alt 'P n n m'
_space_group_IT_number 58
_cell_length_a 7.1916
_cell_length_b 7.5500
_cell_length_c 12.9868
_cell_angle_alpha 90.00
_cell_angle_beta 90.00
_cell_angle_gamma 90.00
loop_
_space_group_symop_operation_xyz
'x,y,z'
'-x,-y,-z'
'-x,-y,z'
'x,y,-z'
'x+1/2,-y+1/2,-z+1/2'
'-x+1/2,y+1/2,z+1/2'
'-x+1/2,y+1/2,-z+1/2'
'x+1/2,-y+1/2,z+1/2'
loop_
_atom_site_label
_atom_site_type_symbol
_atom_site_fract_x
_atom_site_fract_y
_atom_site_fract_z
_atom_site_occupancy
Ba1 Ba 0.2238 0.1621 0.0000 1
Ba2 Ba 0.2368 0.6703 0.1672 1
H1 H 0.0000 0.0000 0.1608 1
Ru1 Ru 0.0000 0.5000 0.0000 1
```

Most intense lines, 2θ from 10° to 80°, in order of rising 2θ:
2theta  Rel. int.  hkl
14.08  145  1 0 1
24.76  286  2 0 0
26.67  495  1 2 0
26.78  1000  1 1 3
34.50  399  2 2 0
41.50  262  0 3 3
41.73  130  0 0 6
44.83  325  3 1 3
48.93  177  2 3 3
50.22  171  1 2 6

# 6
Theoretical powder diffraction line list of Ba2H6Ru for Cu Kα (weighted mean of Kα1 and Kα2), from a cell relaxed with PBE.
Neutral-atom scattering factors, no anomalous dispersion.

Crystal structure
```
data_Ba2H6Ru
_chemical_formula_sum 'Ba8 H24 Ru4'
_space_group_name_H-M_alt 'F m -3 m'
_space_group_IT_number 225
_space_group_name_Hall '-F 4 2 3'
_cell_length_a 8.0357
_cell_length_b 8.0357
_cell_length_c 8.0357
_cell_angle_alpha 90.00
_cell_angle_beta 90.00
_cell_angle_gamma 90.00
loop_
_atom_site_label
_atom_site_type_symbol
_atom_site_fract_x
_atom_site_fract_y
_atom_site_fract_z
_atom_site_occupancy
Ba1 Ba 0.2500 0.2500 0.2500 1
H1 H 0.0000 0.0000 0.2161 1
Ru1 Ru 0.0000 0.0000 0.0000 1
```

Most intense lines, 2θ from 10° to 80°, in order of rising 2θ:
2theta  Rel. int.  hkl
19.13  199  1 1 1
22.12  219  2 0 0
31.49  1000  2 2 0
37.11  102  3 1 1
38.82  79  2 2 2
45.13  190  4 0 0
50.81  97  4 2 0
56.07  382  4 2 2
65.74  122  4 4 0
74.71  166  6 2 0